This entry pairs a crystal structure of DyErWO6 with its theoretical X-ray diffraction stick pattern. Radiation: Cu Kα (weighted mean of Kα1 and Kα2). Structure: DFT lattice parameters and positions (PBE+U).

Structural model:
```
data_DyErWO6
_chemical_formula_sum 'Dy2 Er2 W2 O12'
_cell_length_a 5.5034
_cell_length_b 5.5034
_cell_length_c 9.4921
_cell_angle_alpha 90.00
_cell_angle_beta 90.00
_cell_angle_gamma 120.00
_space_group_name_H-M_alt 'P -3 1 c'
_space_group_IT_number 163
_space_group_name_Hall '-P 3 2c'
loop_
_atom_site_label
_atom_site_type_symbol
_atom_site_fract_x
_atom_site_fract_y
_atom_site_fract_z
Dy1 Dy 0.0000 0.0000 0.0000
Er1 Er 0.3333 0.6667 0.2500
W1 W 0.3333 0.6667 0.7500
O1 O 0.0387 0.3686 0.6355
```

The 12 most intense peaks (5° ≤ 2θ ≤ 70°), by intensity:
2θ/deg	intensity	h k l
26.50	100.0	1 0 2
32.54	55.5	1 1 0
50.81	45.5	1 1 4
42.45	28.3	2 0 2
54.48	27.5	2 1 2
58.06	16.9	3 0 0
18.69	14.2	0 0 2
37.79	13.8	1 1 2
37.92	9.9	0 0 4
61.79	9.3	1 0 6
68.16	7.2	2 2 0
61.56	3.3	3 0 2